Structure and theoretical X-ray diffraction stick pattern of Ca2GaN2 (a DFT-relaxed cell (GGA-PBE, Alexandria); CuKα).
Peak positions follow from Bragg's law for the DFT cell and can differ from measured ones.

Cell and atoms:
```
10
Lattice="5.582 -2.510 0.000 5.582 2.510 0.000 -3.340 0.000 5.910" Properties=species:S:1:pos:R:3 pbc="T T T"
Ca -0.557 0.000 1.529
Ca 0.621 0.000 5.361
Ca 7.204 0.000 0.549
Ca 8.382 0.000 4.381
Ga 2.791 0.000 2.214
Ga 5.033 0.000 3.696
N 1.673 0.000 0.669
N 3.013 0.000 4.165
N 4.812 0.000 1.745
N 6.151 0.000 5.241
```

Largest 10 diffraction maxima, sorted by position, 10° ≤ 2θ ≤ 80°:
19.91 deg, I 29; 22.09 deg, I 64; 32.34 deg, I 100; 32.90 deg, I 98; 34.36 deg, I 68; 35.77 deg, I 99; 42.94 deg, I 49; 45.09 deg, I 25; 50.44 deg, I 31; 57.08 deg, I 39



Structure and theoretical X-ray diffraction stick pattern of K2MgCd12Au3 (a DFT-relaxed cell (GGA-PBE, Alexandria); CuKα).
Peak positions follow from Bragg's law for the DFT cell and can differ from measured ones.

Cell and atoms:
```
18
Lattice="4.926 2.844 6.890 -4.926 2.844 6.890 0.000 -5.688 6.890" Properties=species:S:1:pos:R:3 pbc="T T T"
K 0.000 0.000 1.988
K 0.000 0.000 18.682
Mg 0.000 0.000 10.335
Cd -2.412 -1.393 9.718
Cd 0.000 -1.921 5.706
Cd -1.663 0.960 5.706
Cd 0.000 -2.785 10.952
Cd -2.412 1.393 10.952
Cd -1.663 -0.960 14.964
Cd 1.663 0.960 5.706
Cd 2.412 -1.393 9.718
Cd 0.000 2.785 9.718
Cd 1.663 -0.960 14.964
Cd 0.000 1.921 14.964
Cd 2.412 1.393 10.952
Au -2.463 -1.422 6.890
Au -2.463 1.422 13.780
Au 0.000 2.844 6.890
```

Largest 10 diffraction maxima, sorted by position, 10° ≤ 2θ ≤ 80°:
11.22 deg, I 75; 13.46 deg, I 97; 21.27 deg, I 100; 22.55 deg, I 51; 23.92 deg, I 46; 36.48 deg, I 96; 37.03 deg, I 69; 40.83 deg, I 83; 41.47 deg, I 49; 42.62 deg, I 60



Structure and theoretical X-ray diffraction stick pattern of CePm8Pb5 (a DFT-relaxed cell (GGA-PBE, Alexandria); CuKα).
Peak positions follow from Bragg's law for the DFT cell and can differ from measured ones.

Cell and atoms:
```
14
Lattice="-4.839 4.839 4.824 4.839 -4.839 4.824 4.839 4.839 -4.824" Properties=species:S:1:pos:R:3 pbc="T T T"
Ce 0.000 0.000 0.000
Pm 6.445 0.657 -0.463
Pm 1.796 -0.770 3.014
Pm 0.657 3.234 0.463
Pm 3.044 5.610 -1.811
Pm 4.069 3.044 1.811
Pm 4.182 1.606 5.287
Pm 0.770 1.796 6.635
Pm -1.606 4.182 4.361
Pb 3.593 2.462 -1.302
Pb 4.839 0.000 2.412
Pb 2.378 -1.247 6.126
Pb 1.247 2.378 3.523
Pb 2.462 6.086 1.302
```

Largest 10 diffraction maxima, sorted by position, 10° ≤ 2θ ≤ 80°:
22.53 deg, I 11; 29.21 deg, I 100; 34.72 deg, I 68; 41.75 deg, I 12; 43.92 deg, I 13; 45.98 deg, I 14; 47.98 deg, I 19; 58.83 deg, I 20; 58.97 deg, I 10; 71.67 deg, I 11



Structure and theoretical X-ray diffraction stick pattern of CaY2Te4 (a DFT-relaxed cell (GGA-PBE, Alexandria); CuKα).
Peak positions follow from Bragg's law for the DFT cell and can differ from measured ones.

Cell and atoms:
```
14
Lattice="-4.426 4.482 6.169 4.426 -4.482 6.169 4.426 4.482 -6.169" Properties=species:S:1:pos:R:3 pbc="T T T"
Ca 0.000 0.000 0.000
Ca 0.000 4.482 0.000
Y 4.426 0.000 0.000
Y -2.213 2.241 3.085
Y 0.000 0.000 6.169
Y 2.213 2.241 3.085
Te 2.269 2.241 -0.046
Te 6.583 2.241 -0.046
Te 4.426 0.068 3.046
Te 0.000 0.068 3.123
Te 4.426 4.415 3.046
Te 0.000 4.415 3.123
Te -2.157 2.241 6.215
Te 2.157 2.241 6.215
```

Largest 10 diffraction maxima, sorted by position, 10° ≤ 2θ ≤ 80°:
24.55 deg, I 20; 24.76 deg, I 20; 28.34 deg, I 100; 28.95 deg, I 47; 40.24 deg, I 19; 40.77 deg, I 18; 40.95 deg, I 72; 50.33 deg, I 20; 50.77 deg, I 19; 66.71 deg, I 25



Structure and theoretical X-ray diffraction stick pattern of TmScSb2O8 (a DFT-relaxed cell (GGA-PBE, Alexandria); CuKα).
Peak positions follow from Bragg's law for the DFT cell and can differ from measured ones.

Cell and atoms:
```
12
Lattice="-2.566 2.566 5.457 2.566 -2.566 5.457 2.566 2.566 -5.457" Properties=species:S:1:pos:R:3 pbc="T T T"
Tm 0.000 0.000 0.000
Sc 2.566 0.000 2.729
Sb 0.000 0.000 5.457
Sb 0.000 2.566 2.729
O 1.237 1.022 -1.759
O 1.317 -0.981 4.444
O 1.585 1.250 1.014
O 1.545 -1.330 7.216
O 1.250 3.548 -1.014
O 1.330 1.545 3.698
O 0.981 1.317 6.471
O 1.022 3.896 1.759
```

Largest 10 diffraction maxima, sorted by position, 10° ≤ 2θ ≤ 80°:
19.11 deg, I 10; 29.56 deg, I 100; 32.82 deg, I 12; 34.96 deg, I 18; 48.71 deg, I 33; 50.28 deg, I 16; 56.59 deg, I 16; 59.41 deg, I 27; 61.35 deg, I 10; 79.07 deg, I 12



Structure and theoretical X-ray diffraction stick pattern of PmHo2UP4 (a DFT-relaxed cell (GGA-PBE, Alexandria); CuKα).
Peak positions follow from Bragg's law for the DFT cell and can differ from measured ones.

Cell and atoms:
```
8
Lattice="6.925 0.000 0.000 0.000 3.995 0.000 -2.289 0.000 6.558" Properties=species:S:1:pos:R:3 pbc="T T T"
Pm 0.000 0.000 0.000
Ho 2.318 0.000 3.279
Ho 3.463 1.998 0.000
U -1.145 1.998 3.279
P 0.024 0.000 4.871
P 1.148 1.998 1.708
P 3.488 1.998 4.850
P 4.612 0.000 1.687
```

Largest 10 diffraction maxima, sorted by position, 10° ≤ 2θ ≤ 80°:
27.24 deg, I 47; 27.33 deg, I 46; 31.61 deg, I 100; 45.16 deg, I 12; 45.27 deg, I 24; 45.38 deg, I 37; 53.59 deg, I 15; 53.78 deg, I 19; 56.40 deg, I 13; 75.15 deg, I 17